Entry 1:
Structure and theoretical X-ray powder pattern of LiHfPa4N8 (DFT lattice parameters and positions (GGA-PBE); Cu Ka).
Peak positions follow from Bragg's law for the DFT cell and can differ from measured ones.

Principal peaks in the range 2θ from 10° to 90°, most intense first:
- 2θ 29.77, I 100.0
- 2θ 31.61, I 41.3
- 2θ 28.28, I 36.2
- 2θ 18.07, I 36.1
- 2θ 51.64, I 31.3
- 2θ 31.15, I 27.6
- 2θ 33.76, I 27.6
- 2θ 46.29, I 20.0
- 2θ 50.09, I 19.9
- 2θ 44.94, I 17.2
- 2θ 60.75, I 13.9
- 2θ 58.49, I 12.7

Crystal structure
abc: 6.3875 6.3875 6.3875
angles: 67.32 67.32 67.32
Fractional coordinates of all 14 atoms:
1 Li 0.0000 0.0000 0.0000
2 Hf 0.3921 0.3921 0.3921
3 Pa 0.0082 0.0082 0.5148
4 Pa 0.0082 0.5148 0.0082
5 Pa 0.5148 0.0082 0.0082
6 Pa 0.6023 0.6023 0.6023
7 N 0.2243 0.7806 0.7806
8 N 0.2513 0.2513 0.2513
9 N 0.3063 0.3063 0.7583
10 N 0.3063 0.7583 0.3063
11 N 0.7583 0.3063 0.3063
12 N 0.7650 0.7650 0.7650
13 N 0.7806 0.2243 0.7806
14 N 0.7806 0.7806 0.2243

Entry 2:
Structure and theoretical X-ray powder pattern of SrAgN (DFT lattice parameters and positions (GGA-PBE); Cu Ka).
Peak positions follow from Bragg's law for the DFT cell and can differ from measured ones.

Principal peaks in the range 2θ from 10° to 90°, most intense first:
- 2θ 31.66, I 100.0
- 2θ 33.26, I 29.3
- 2θ 33.07, I 28.3
- 2θ 47.61, I 19.4
- 2θ 58.44, I 17.1
- 2θ 58.18, I 16.3
- 2θ 66.13, I 15.0
- 2θ 43.08, I 14.9
- 2θ 55.36, I 13.1
- 2θ 55.49, I 12.6
- 2θ 71.83, I 9.9
- 2θ 78.49, I 6.8

Crystal structure
abc: 5.3869 4.1995 5.4182
angles: 90.00 90.00 90.00
Fractional coordinates of all 6 atoms:
1 Sr 0.2500 0.0000 0.2446
2 Sr 0.7500 0.0000 0.7554
3 Ag 0.2500 0.5000 0.7263
4 Ag 0.7500 0.5000 0.2737
5 N 0.2500 0.0000 0.7606
6 N 0.7500 0.0000 0.2394

Entry 3:
Structure and theoretical X-ray powder pattern of La3Hg (DFT lattice parameters and positions (GGA-PBE); Cu Ka).
Peak positions follow from Bragg's law for the DFT cell and can differ from measured ones.

Principal peaks in the range 2θ from 10° to 90°, most intense first:
- 2θ 30.13, I 100.0
- 2θ 33.20, I 69.1
- 2θ 30.72, I 55.3
- 2θ 31.82, I 37.2
- 2θ 37.84, I 25.0
- 2θ 50.25, I 19.5
- 2θ 33.42, I 19.3
- 2θ 35.64, I 16.7
- 2θ 48.03, I 16.3
- 2θ 27.40, I 13.8
- 2θ 30.38, I 12.5
- 2θ 62.64, I 11.3

Crystal structure
abc: 6.8024 11.2484 6.8952
angles: 90.00 90.00 90.00
Fractional coordinates of all 16 atoms:
1 La 0.0039 0.2500 0.1463
2 La 0.2183 0.5382 0.3976
3 La 0.2183 0.9618 0.3976
4 La 0.2817 0.0382 0.8976
5 La 0.2817 0.4618 0.8976
6 La 0.4961 0.7500 0.6463
7 La 0.5039 0.2500 0.3537
8 La 0.7183 0.5382 0.1024
9 La 0.7183 0.9618 0.1024
10 La 0.7817 0.0382 0.6024
11 La 0.7817 0.4618 0.6024
12 La 0.9961 0.7500 0.8537
13 Hg 0.1065 0.2500 0.6256
14 Hg 0.3935 0.7500 0.1256
15 Hg 0.6065 0.2500 0.8744
16 Hg 0.8935 0.7500 0.3744

Entry 4:
Structure and theoretical X-ray powder pattern of In7Hg (DFT lattice parameters and positions (GGA-PBE); Cu Ka).
Peak positions follow from Bragg's law for the DFT cell and can differ from measured ones.

Principal peaks in the range 2θ from 10° to 90°, most intense first:
- 2θ 32.60, I 100.0
- 2θ 37.82, I 50.0
- 2θ 65.03, I 39.4
- 2θ 54.56, I 33.8
- 2θ 89.89, I 17.1
- 2θ 68.30, I 11.3
- 2θ 80.82, I 5.4
- 2θ 16.14, I 3.2
- 2θ 31.18, I 2.2
- 2θ 18.65, I 1.8
- 2θ 26.50, I 1.6
- 2θ 41.37, I 1.1

Crystal structure
abc: 6.7275 6.7275 6.7275
angles: 60.00 60.00 60.00
Fractional coordinates of all 8 atoms:
1 In 0.0000 0.0000 0.0000
2 In 0.0000 0.0000 0.5000
3 In 0.0000 0.5000 0.0000
4 In 0.0000 0.5000 0.5000
5 In 0.5000 0.0000 0.0000
6 In 0.5000 0.0000 0.5000
7 In 0.5000 0.5000 0.0000
8 Hg 0.5000 0.5000 0.5000

Entry 5:
Structure and theoretical X-ray powder pattern of LiPu2Si3 (DFT lattice parameters and positions (GGA-PBE); Cu Ka).
Peak positions follow from Bragg's law for the DFT cell and can differ from measured ones.

Principal peaks in the range 2θ from 10° to 90°, most intense first:
- 2θ 34.28, I 100.0
- 2θ 24.64, I 76.5
- 2θ 43.38, I 31.1
- 2θ 56.42, I 24.7
- 2θ 73.75, I 22.8
- 2θ 23.45, I 22.4
- 2θ 49.90, I 19.6
- 2θ 54.65, I 18.7
- 2θ 66.65, I 17.8
- 2θ 50.53, I 11.7
- 2θ 88.16, I 10.5
- 2θ 68.75, I 9.6

Crystal structure
abc: 8.3459 8.1649 5.6362
angles: 71.78 68.32 39.90
Fractional coordinates of all 12 atoms:
1 Li 0.1666 0.1666 0.8334
2 Li 0.8334 0.8334 0.1666
3 Pu 0.2500 0.2500 0.2500
4 Pu 0.2497 0.7503 0.7503
5 Pu 0.7503 0.2497 0.2497
6 Pu 0.7500 0.7500 0.7500
7 Si 0.1717 0.6637 0.3363
8 Si 0.3349 0.3349 0.6651
9 Si 0.3363 0.8283 0.1717
10 Si 0.6637 0.1717 0.8283
11 Si 0.6651 0.6651 0.3349
12 Si 0.8283 0.3363 0.6637

Entry 6:
Structure and theoretical X-ray powder pattern of NaPr2Sb (DFT lattice parameters and positions (GGA-PBE); Cu Ka).
Peak positions follow from Bragg's law for the DFT cell and can differ from measured ones.

Principal peaks in the range 2θ from 10° to 90°, most intense first:
- 2θ 31.57, I 100.0
- 2θ 34.65, I 39.0
- 2θ 60.19, I 31.0
- 2θ 54.18, I 23.8
- 2θ 40.29, I 18.2
- 2θ 49.82, I 13.8
- 2θ 65.93, I 11.7
- 2θ 17.13, I 11.3
- 2θ 67.84, I 10.8
- 2θ 88.71, I 10.7
- 2θ 24.31, I 10.0
- 2θ 19.84, I 8.1

Crystal structure
abc: 5.1771 5.1771 4.4756
angles: 90.00 90.00 90.00
Fractional coordinates of all 4 atoms:
1 Na 0.0000 0.0000 0.0000
2 Pr 0.0000 0.5000 0.5000
3 Pr 0.5000 0.0000 0.5000
4 Sb 0.5000 0.5000 0.0000